This entry pairs a crystal structure of NaPrC3N6 with its simulated powder XRD pattern. Radiation: Cu Kα (λ = 1.5418 Å). Structure: the GGA-PBE geometry in Alexandria.
Kinematic intensities with the Lorentz-polarization factor, no thermal factor.

Largest 10 diffraction maxima, sorted by position, 2θ from 10° to 90°:
d/Å	Rel. int.	index
5.378	44	1 0 1
5.027	100	1 1 0
3.673	73	0 2 1
2.689	35	2 0 2
2.514	24	2 2 0
2.371	41	1 2 2
2.277	27	1 3 1
1.973	19	3 1 2
1.900	14	4 1 0
1.677	17	3 3 0

Cell and atoms:
a b c (Å): 10.0545 10.0545 6.8381
angles (deg): 90.00 90.00 120.00
Space group R32 (No. 155, hexagonal axes)
Unique sites:
Na  0.0000  0.0000  0.0000 [3 per cell]
Pr  0.0000  0.0000  0.5000 [3 per cell]
C  0.0000  0.4992  0.5000 [9 per cell]
N  0.1051  0.2120  0.7413 [18 per cell]

***

This entry pairs a crystal structure of NaPrCN2 with its simulated powder XRD pattern. Radiation: Cu Kα (λ = 1.5418 Å). Structure: the GGA-PBE geometry in Alexandria.
Kinematic intensities with the Lorentz-polarization factor, no thermal factor.

Largest 10 diffraction maxima, sorted by position, 2θ from 10° to 90°:
d/Å	Rel. int.	index
5.606	100	1 0 0
5.433	38	0 1 0
3.974	15	1 1 -1
3.901	54	1 1 0
3.346	20	0 0 2
3.077	49	1 1 -2
2.849	28	0 1 2
2.803	28	2 0 0
2.568	22	2 1 -2
2.212	18	1 1 2

Cell and atoms:
a b c (Å): 6.326 5.433 7.552
angles (deg): 90.00 117.61 90.00
Space group P2/c (No. 13)
Unique sites:
Na  0.000  0.172  0.250 [2 per cell]
Pr  0.500  0.449  0.750 [2 per cell]
C  0.500  0.000  0.000 [2 per cell]
N  0.445  0.214  0.439 [4 per cell]

***

This entry pairs a crystal structure of Nb3C2N with its simulated powder XRD pattern. Radiation: Cu Kα (λ = 1.5418 Å). Structure: the GGA-PBE geometry in Alexandria.
Kinematic intensities with the Lorentz-polarization factor, no thermal factor.

Largest 10 diffraction maxima, sorted by position, 2θ from 10° to 90°:
d/Å	Rel. int.	index
2.600	95	2 2 0
2.590	94	0 2 6
2.251	50	0 4 0
2.245	100	2 0 6
1.590	78	4 0 0
1.583	16	0 0 12
1.357	49	4 2 6
1.352	25	2 2 12
1.300	15	4 4 0
1.295	15	0 4 12

Cell and atoms:
a b c (Å): 6.368 9.005 18.997
angles (deg): 90.00 90.00 90.00
Space group Fddd (No. 70, origin choice 2)
Unique sites:
Nb  0.115  0.375  0.375 [16 per cell]
Nb  0.120  0.367  0.207 [32 per cell]
C  0.125  0.125  0.041 [16 per cell]
C  0.125  0.125  0.376 [16 per cell]
N  0.125  0.125  0.542 [16 per cell]

***

This entry pairs a crystal structure of Nb2C3N6 with its simulated powder XRD pattern. Radiation: Cu Kα (λ = 1.5418 Å). Structure: the GGA-PBE geometry in Alexandria.
Kinematic intensities with the Lorentz-polarization factor, no thermal factor.

Largest 10 diffraction maxima, sorted by position, 2θ from 10° to 90°:
d/Å	Rel. int.	index
5.096	100	0 0 2
4.652	76	2 0 0
4.507	55	1 1 -1
4.168	46	2 0 -2
3.990	38	1 1 1
2.795	30	3 1 -1
2.467	53	3 1 -3
2.434	53	3 1 1
2.371	52	0 2 2
1.898	26	3 1 -5

Cell and atoms:
a b c (Å): 9.828 5.357 10.763
angles (deg): 90.00 108.77 90.00
Space group C2/c (No. 15)
Unique sites:
Nb  0.066  0.224  0.499 [8 per cell]
C  0.000  0.422  0.750 [4 per cell]
C  0.166  0.086  0.268 [8 per cell]
N  0.012  0.426  0.867 [8 per cell]
N  0.115  0.058  0.148 [8 per cell]
N  0.213  0.121  0.387 [8 per cell]

***

This entry pairs a crystal structure of Nb5C4N with its simulated powder XRD pattern. Radiation: Cu Kα (λ = 1.5418 Å). Structure: the GGA-PBE geometry in Alexandria.
Kinematic intensities with the Lorentz-polarization factor, no thermal factor.

Largest 10 diffraction maxima, sorted by position, 2θ from 10° to 90°:
d/Å	Rel. int.	index
2.597	100	1 1 0
2.258	53	1 0 5
2.230	25	0 2 0
1.597	17	2 0 0
1.587	33	1 2 5
1.360	27	2 1 5
1.348	13	1 3 0
1.298	16	2 2 0
1.129	5	2 0 10
1.115	3	0 4 0

Cell and atoms:
a b c (Å): 3.195 4.460 15.966
angles (deg): 90.00 90.00 90.00
Space group Immm (No. 71)
Unique sites:
Nb  0.000  0.000  0.000 [2 per cell]
Nb  0.000  0.000  0.200 [4 per cell]
Nb  0.000  0.000  0.397 [4 per cell]
C  0.000  0.500  0.200 [4 per cell]
C  0.000  0.500  0.400 [4 per cell]
N  0.000  0.500  0.000 [2 per cell]

***

This entry pairs a crystal structure of Nb2C3N6 with its simulated powder XRD pattern. Radiation: Cu Kα (λ = 1.5418 Å). Structure: the GGA-PBE geometry in Alexandria.
Kinematic intensities with the Lorentz-polarization factor, no thermal factor.

Largest 10 diffraction maxima, sorted by position, 2θ from 10° to 90°:
d/Å	Rel. int.	index
5.137	54	0 0 3
4.547	70	1 0 1
4.049	45	0 1 2
2.994	15	1 0 4
2.748	43	1 1 0
2.423	100	1 1 3
1.876	45	1 1 6
1.586	20	3 0 0
1.453	16	1 1 9
1.327	13	2 2 3

Cell and atoms:
a b c (Å): 5.4951 5.4951 15.4105
angles (deg): 90.00 90.00 120.00
Space group R32 (No. 155, hexagonal axes)
Unique sites:
Nb  0.0000  0.0000  0.1656 [6 per cell]
C  0.0000  0.6792  0.0000 [9 per cell]
N  0.0105  0.6223  0.4115 [18 per cell]

***

This entry pairs a crystal structure of Nd4CN2 with its simulated powder XRD pattern. Radiation: Cu Kα (λ = 1.5418 Å). Structure: the GGA-PBE geometry in Alexandria.
Kinematic intensities with the Lorentz-polarization factor, no thermal factor.

Largest 10 diffraction maxima, sorted by position, 2θ from 10° to 90°:
d/Å	Rel. int.	index
3.055	100	2 0 2
2.652	19	0 0 4
2.643	38	2 2 0
1.871	43	4 0 0
1.598	14	2 0 6
1.594	28	4 2 2
1.528	13	4 0 4
1.215	11	4 2 6
1.185	5	2 2 8
1.182	11	6 2 0

Cell and atoms:
a b c (Å): 7.475 7.475 10.608
angles (deg): 90.00 90.00 90.00
Space group P4_122 (No. 91)
Unique sites:
Nd  0.008  0.246  0.259 [8 per cell]
Nd  0.246  0.482  0.495 [8 per cell]
C  0.242  0.500  0.250 [4 per cell]
N  0.000  0.243  0.500 [4 per cell]
N  0.252  0.252  0.875 [4 per cell]

***

This entry pairs a crystal structure of NdC6N9 with its simulated powder XRD pattern. Radiation: Cu Kα (λ = 1.5418 Å). Structure: the GGA-PBE geometry in Alexandria.
Kinematic intensities with the Lorentz-polarization factor, no thermal factor.

Largest 10 diffraction maxima, sorted by position, 2θ from 10° to 90°:
d/Å	Rel. int.	index
5.973	36	0 2 0
5.580	100	1 1 1
5.324	21	0 0 2
4.132	19	1 1 2
3.368	34	1 3 1
3.122	32	1 1 3
2.953	14	1 3 2
2.790	14	2 2 2
2.510	14	1 3 3
2.481	14	3 1 1

Cell and atoms:
a b c (Å): 7.835 11.945 10.649
angles (deg): 90.00 90.00 90.00
Space group Cmcm (No. 63)
Unique sites:
Nd  0.000  0.219  0.250 [4 per cell]
C  0.144  0.084  0.750 [8 per cell]
C  0.145  0.353  0.555 [16 per cell]
N  0.000  0.030  0.750 [4 per cell]
N  0.000  0.345  0.004 [8 per cell]
N  0.219  0.143  0.101 [16 per cell]
N  0.221  0.372  0.250 [8 per cell]

***

This entry pairs a crystal structure of NdC6N8 with its simulated powder XRD pattern. Radiation: Cu Kα (λ = 1.5418 Å). Structure: the GGA-PBE geometry in Alexandria.
Kinematic intensities with the Lorentz-polarization factor, no thermal factor.

Largest 10 diffraction maxima, sorted by position, 2θ from 10° to 90°:
d/Å	Rel. int.	index
5.366	100	1 0 1
4.241	69	0 1 2
3.997	43	0 0 3
3.465	34	1 1 0
2.682	49	1 0 4
2.618	41	1 1 3
2.228	50	3 -1 1
2.121	45	0 2 4
1.731	21	1 1 6
1.648	23	1 0 7

Cell and atoms:
a b c (Å): 6.9290 6.9290 11.9899
angles (deg): 90.00 90.00 120.00
Space group R3 (No. 146, hexagonal axes)
Unique sites:
Nd  0.0000  0.0000  0.0000 [3 per cell]
C  0.0960  0.5528  0.4359 [9 per cell]
C  0.2129  0.7811  0.0997 [9 per cell]
N  0.0000  0.0000  0.4401 [3 per cell]
N  0.0000  0.0000  0.7747 [3 per cell]
N  0.0010  0.2907  0.1158 [9 per cell]
N  0.0006  0.6589  0.0614 [9 per cell]

***

This entry pairs a crystal structure of Nd4CNO2 with its simulated powder XRD pattern. Radiation: Cu Kα (λ = 1.5418 Å). Structure: the GGA-PBE geometry in Alexandria.
Kinematic intensities with the Lorentz-polarization factor, no thermal factor.

Largest 10 diffraction maxima, sorted by position, 2θ from 10° to 90°:
d/Å	Rel. int.	index
2.975	100	1 1 2
2.581	51	2 0 0
2.567	25	0 0 4
1.825	18	2 2 0
1.820	35	2 0 4
1.555	31	3 1 2
1.549	15	1 1 6
1.487	18	2 2 4
1.181	13	3 1 6
1.154	8	4 2 0

Cell and atoms:
a b c (Å): 5.161 5.161 10.268
angles (deg): 90.00 90.00 90.00
Space group I4/mmm (No. 139)
Unique sites:
Nd  0.000  0.000  0.247 [4 per cell]
Nd  0.000  0.500  0.000 [4 per cell]
C  0.000  0.000  0.500 [2 per cell]
N  0.000  0.000  0.000 [2 per cell]
O  0.000  0.500  0.250 [4 per cell]

***

This entry pairs a crystal structure of Nd3PdC2N6 with its simulated powder XRD pattern. Radiation: Cu Kα (λ = 1.5418 Å). Structure: the GGA-PBE geometry in Alexandria.
Kinematic intensities with the Lorentz-polarization factor, no thermal factor.

Largest 10 diffraction maxima, sorted by position, 2θ from 10° to 90°:
d/Å	Rel. int.	index
3.788	60	1 0 1
2.697	97	1 1 0
2.660	100	0 1 2
2.197	30	0 2 1
1.894	43	2 0 2
1.685	17	1 1 3
1.557	18	3 0 0
1.550	34	1 2 2
1.529	17	1 0 4
1.193	17	2 1 4

Cell and atoms:
a b c (Å): 5.3932 5.3932 6.4739
angles (deg): 90.00 90.00 120.00
Space group P-3m1 (No. 164)
Unique sites:
Nd  0.0000  0.0000  0.0000 [1 per cell]
Nd  0.3333  0.6667  0.6648 [2 per cell]
Pd  0.0000  0.0000  0.5000 [1 per cell]
C  0.3333  0.6667  0.2565 [2 per cell]
N  0.1870  0.3740  0.2599 [6 per cell]

***

This entry pairs a crystal structure of PrNdC3N6 with its simulated powder XRD pattern. Radiation: Cu Kα (λ = 1.5418 Å). Structure: the GGA-PBE geometry in Alexandria.
Kinematic intensities with the Lorentz-polarization factor, no thermal factor.

Largest 10 diffraction maxima, sorted by position, 2θ from 10° to 90°:
d/Å	Rel. int.	index
5.487	71	1 0 1
5.119	39	0 0 3
4.666	56	0 1 2
3.392	54	1 1 0
2.828	100	1 1 3
2.722	20	0 1 5
2.133	18	1 2 2
2.043	33	2 -1 6
1.958	19	3 0 0
1.829	21	0 3 3

Cell and atoms:
a b c (Å): 6.7841 6.7841 15.3567
angles (deg): 90.00 90.00 120.00
Space group R3 (No. 146, hexagonal axes)
Unique sites:
Pr  0.0000  0.0000  0.0000 [3 per cell]
Nd  0.0000  0.0000  0.3547 [3 per cell]
C  0.0041  0.2795  0.1778 [9 per cell]
N  0.0115  0.4373  0.7717 [9 per cell]
N  0.1004  0.3493  0.9173 [9 per cell]